Simulated powder XRD pattern
Compound: Pr2IrCl2
Radiation: Cu Kα (λ = 1.5418 Å)
Structure: a cell relaxed with GGA-PBE
Neutral-atom scattering factors, no anomalous dispersion.

Structure:
a = 4.129 Å, b = 4.129 Å, c = 31.607 Å
α = 90.00°, β = 90.00°, γ = 120.00°
Fractional coordinates of all 15 atoms:
Pr  0.000  0.000  0.114
Pr  0.000  0.000  0.886
Pr  0.333  0.667  0.553
Pr  0.333  0.667  0.780
Pr  0.667  0.333  0.220
Pr  0.667  0.333  0.447
Ir  0.000  0.000  0.500
Ir  0.333  0.667  0.167
Ir  0.667  0.333  0.833
Cl  0.000  0.000  0.275
Cl  0.000  0.000  0.725
Cl  0.333  0.667  0.391
Cl  0.333  0.667  0.942
Cl  0.667  0.333  0.058
Cl  0.667  0.333  0.609

Main lines, low angle first (5° ≤ 2θ ≤ 70°):
| d/Å | intensity |
| --- | --- |
| 10.536 | 100.0 |
| 3.112 | 50.7 |
| 2.651 | 26.4 |
| 2.368 | 13.7 |
| 2.065 | 18.8 |
| 2.011 | 16.6 |

=====

Simulated powder XRD pattern
Compound: Pr6IrCl11
Radiation: Cu Kα (λ = 1.5418 Å)
Structure: a cell relaxed with GGA-PBE
Neutral-atom scattering factors, no anomalous dispersion.

Structure:
a = 8.342 Å, b = 8.342 Å, c = 7.427 Å
α = 92.98°, β = 92.98°, γ = 101.26°
Fractional coordinates of all 18 atoms:
Pr  0.019  0.710  0.727
Pr  0.194  0.194  0.741
Pr  0.290  0.981  0.273
Pr  0.710  0.019  0.727
Pr  0.806  0.806  0.259
Pr  0.981  0.290  0.273
Ir  0.000  0.000  0.500
Cl  0.000  0.000  0.000
Cl  0.093  0.662  0.135
Cl  0.201  0.489  0.557
Cl  0.302  0.302  0.137
Cl  0.338  0.907  0.865
Cl  0.489  0.201  0.557
Cl  0.511  0.799  0.443
Cl  0.662  0.093  0.135
Cl  0.698  0.698  0.863
Cl  0.799  0.511  0.443
Cl  0.907  0.338  0.865

Main lines, low angle first (5° ≤ 2θ ≤ 70°):
| d/Å | intensity |
| --- | --- |
| 8.165 | 100.0 |
| 3.675 | 19.4 |
| 3.552 | 38.8 |
| 2.753 | 18.7 |
| 2.615 | 27.4 |
| 2.068 | 19.6 |

=====

Simulated powder XRD pattern
Compound: Pr6Ir2S3Cl
Radiation: Cu Kα (λ = 1.5418 Å)
Structure: a cell relaxed with GGA-PBE
Neutral-atom scattering factors, no anomalous dispersion.

Structure:
a = 9.426 Å, b = 9.426 Å, c = 8.603 Å
α = 104.64°, β = 104.64°, γ = 24.97°
Fractional coordinates of all 12 atoms:
Pr  0.007  0.007  0.274
Pr  0.324  0.324  0.894
Pr  0.331  0.331  0.419
Pr  0.669  0.669  0.581
Pr  0.676  0.676  0.106
Pr  0.993  0.993  0.726
Ir  0.167  0.167  0.335
Ir  0.833  0.833  0.665
S  0.158  0.158  0.841
S  0.500  0.500  0.500
S  0.842  0.842  0.159
Cl  0.500  0.500  0.000

Main lines, low angle first (5° ≤ 2θ ≤ 70°):
| d/Å | intensity |
| --- | --- |
| 7.049 | 13.3 |
| 2.960 | 100.0 |
| 2.150 | 13.6 |
| 2.112 | 25.9 |
| 2.075 | 22.6 |
| 1.679 | 12.2 |

=====

Simulated powder XRD pattern
Compound: IrPtCl6
Radiation: Cu Kα (λ = 1.5418 Å)
Structure: a cell relaxed with GGA-PBE
Neutral-atom scattering factors, no anomalous dispersion.

Structure:
a = 7.040 Å, b = 10.796 Å, c = 6.997 Å
α = 90.00°, β = 119.72°, γ = 90.00°
Fractional coordinates of all 16 atoms:
Ir  0.000  0.000  0.000
Ir  0.500  0.500  0.000
Pt  0.000  0.000  0.500
Pt  0.500  0.500  0.500
Cl  0.001  0.144  0.745
Cl  0.001  0.856  0.745
Cl  0.123  0.500  0.811
Cl  0.377  0.000  0.189
Cl  0.499  0.356  0.255
Cl  0.499  0.644  0.255
Cl  0.501  0.356  0.745
Cl  0.501  0.644  0.745
Cl  0.623  0.000  0.811
Cl  0.877  0.500  0.189
Cl  0.999  0.144  0.255
Cl  0.999  0.856  0.255

Main lines, low angle first (5° ≤ 2θ ≤ 70°):
| d/Å | intensity |
| --- | --- |
| 5.398 | 51.6 |
| 5.320 | 100.0 |
| 3.328 | 24.1 |
| 3.057 | 20.7 |
| 2.647 | 26.5 |
| 2.508 | 29.1 |